Entry 1:
Structure and computed PXRD pattern of Y3Si4 (the GGA-PBE geometry in Alexandria; copper Kα).

Peak list (8 most intense, 2θ = 10–90°, in order of rising 2θ)
| two_theta | I_rel |
| --- | --- |
| 27.2 | 33 |
| 31.0 | 55 |
| 31.1 | 38 |
| 34.0 | 100 |
| 35.6 | 84 |
| 39.5 | 80 |
| 53.0 | 39 |
| 56.2 | 37 |

Crystal structure
```
Y3Si4
1.0
1.9925 -5.2672 0.0000
1.9925 5.2672 0.0000
0.0000 0.0000 13.7171
Y Si
6 8
Direct
0.0220 0.9780 0.7500
0.3163 0.6837 0.5985
0.3163 0.6837 0.9015
0.6837 0.3163 0.0985
0.6837 0.3163 0.4015
0.9780 0.0220 0.2500
0.0000 0.0000 0.0000
0.0000 0.0000 0.5000
0.2564 0.7436 0.2500
0.3958 0.6042 0.1064
0.3958 0.6042 0.3936
0.6042 0.3958 0.6064
0.6042 0.3958 0.8936
0.7436 0.2564 0.7500
```

=====

Entry 2:
Structure and computed PXRD pattern of BaTl5 (the GGA-PBE geometry in Alexandria; copper Kα).

Peak list (8 most intense, 2θ = 10–90°, in order of rising 2θ)
| two_theta | I_rel |
| --- | --- |
| 30.6 | 100 |
| 34.3 | 19 |
| 34.7 | 19 |
| 37.3 | 13 |
| 49.6 | 14 |
| 59.1 | 16 |
| 59.6 | 15 |
| 63.7 | 12 |

Crystal structure
```
BaTl5
1.0
5.1735 0.0000 0.0000
0.0000 14.4572 0.0000
0.0000 0.0000 5.2277
Ba Tl
2 10
Direct
0.0000 0.0000 0.0000
0.5000 0.5000 0.0000
0.0000 0.1756 0.5000
0.0000 0.3208 0.0000
0.0000 0.5000 0.5000
0.0000 0.6792 0.0000
0.0000 0.8244 0.5000
0.5000 0.0000 0.5000
0.5000 0.1792 0.0000
0.5000 0.3244 0.5000
0.5000 0.6756 0.5000
0.5000 0.8208 0.0000
```

=====

Entry 3:
Structure and computed PXRD pattern of H2PtN (the GGA-PBE geometry in Alexandria; copper Kα).

Peak list (8 most intense, 2θ = 10–90°, in order of rising 2θ)
| two_theta | I_rel |
| --- | --- |
| 24.9 | 90 |
| 41.2 | 100 |
| 48.6 | 33 |
| 48.8 | 16 |
| 59.5 | 11 |
| 65.6 | 13 |
| 75.0 | 23 |
| 75.1 | 11 |

Crystal structure
```
H2PtN
1.0
4.3914 0.0000 0.0000
0.0000 4.3914 0.0000
0.0000 0.0000 6.1880
H Pt N
8 4 4
Direct
0.0000 0.0000 0.0000
0.0000 0.5000 0.0000
0.2500 0.2500 0.7500
0.2500 0.7500 0.2500
0.5000 0.0000 0.5000
0.5000 0.5000 0.5000
0.7500 0.2500 0.7500
0.7500 0.7500 0.2500
0.0000 0.2500 0.3750
0.0000 0.7500 0.6250
0.5000 0.2500 0.1250
0.5000 0.7500 0.8750
0.0000 0.2500 0.8750
0.0000 0.7500 0.1250
0.5000 0.2500 0.6250
0.5000 0.7500 0.3750
```

=====

Entry 4:
Structure and computed PXRD pattern of Ni3Ag (the GGA-PBE geometry in Alexandria; copper Kα).

Peak list (8 most intense, 2θ = 10–90°, in order of rising 2θ)
| two_theta | I_rel |
| --- | --- |
| 30.7 | 16 |
| 41.7 | 100 |
| 43.2 | 98 |
| 47.0 | 69 |
| 53.9 | 24 |
| 74.3 | 32 |
| 82.6 | 19 |
| 85.7 | 22 |

Crystal structure
```
Ni3Ag
1.0
2.6610 0.0000 0.0000
0.0000 3.4015 0.0000
-0.0009 0.0000 5.6273
Ni Ag
3 1
Direct
0.0000 0.0000 0.0000
0.4979 0.5000 0.2145
0.5021 0.5000 0.7855
0.0000 0.0000 0.5000
```

=====

Entry 5:
Structure and computed PXRD pattern of PuZnInPt2 (the GGA-PBE geometry in Alexandria; copper Kα).

Peak list (8 most intense, 2θ = 10–90°, in order of rising 2θ)
| two_theta | I_rel |
| --- | --- |
| 26.5 | 100 |
| 29.4 | 62 |
| 35.9 | 59 |
| 36.2 | 84 |
| 40.5 | 46 |
| 40.7 | 75 |
| 40.8 | 99 |
| 42.3 | 51 |

Crystal structure
```
PuZnInPt2
1.0
6.7642 -2.2189 0.0000
6.7642 2.2189 0.0000
-3.3634 0.0000 6.9800
Pu Zn In Pt
2 2 2 4
Direct
0.2383 0.2383 0.1907
0.7617 0.7617 0.8093
0.3950 0.3950 0.6854
0.6050 0.6050 0.3146
0.0481 0.0481 0.7228
0.9519 0.9519 0.2772
0.1765 0.1765 0.5181
0.4024 0.4024 0.0354
0.5976 0.5976 0.9646
0.8235 0.8235 0.4819
```

=====

Entry 6:
Structure and computed PXRD pattern of Li2Ac3Ag2Pb4 (the GGA-PBE geometry in Alexandria; copper Kα).

Peak list (8 most intense, 2θ = 10–90°, in order of rising 2θ)
| two_theta | I_rel |
| --- | --- |
| 23.5 | 48 |
| 26.7 | 34 |
| 30.6 | 100 |
| 36.2 | 78 |
| 39.9 | 17 |
| 48.1 | 29 |
| 59.5 | 25 |
| 61.7 | 28 |

Crystal structure
```
Li2Ac3Ag2Pb4
1.0
4.9616 0.0000 0.0000
-2.4808 4.2968 0.0000
0.0000 0.0000 15.9549
Li Ac Ag Pb
2 3 2 4
Direct
0.3333 0.6667 0.0600
0.6667 0.3333 0.9400
0.0000 0.0000 0.2287
0.0000 0.0000 0.5000
0.0000 0.0000 0.7713
0.3333 0.6667 0.6585
0.6667 0.3333 0.3415
0.3333 0.6667 0.3748
0.3333 0.6667 0.8838
0.6667 0.3333 0.1162
0.6667 0.3333 0.6252
```

=====

What is the formula in the first record? Y3Si4